Diffraction record for FeH6C2N2O4. The powder X-ray diffraction pattern is simulated, not measured: it uses a structure optimized by DFT (PBE+U) and Cu Kα, 1.54184 Å.

Main lines, by angle (10 to 80 degrees two-theta):
(1 1 0), 2θ = 15.47°, I 23; (1 1 -1), 2θ = 16.31°, I 100; (2 0 0), 2θ = 16.55°, I 57; (3 1 -1), 2θ = 23.56°, I 57; (0 0 2), 2θ = 25.26°, I 21; (2 2 0), 2θ = 31.23°, I 12; (1 1 -3), 2θ = 36.09°, I 16; (4 2 -2), 2θ = 37.41°, I 36; (5 1 -1), 2θ = 37.74°, I 13; (6 2 -2), 2θ = 48.20°, I 19

Cell and atoms:
a = 13.821 Å, b = 6.779 Å, c = 9.092 Å
α = 90.00°, β = 129.19°, γ = 90.00°
Space group C2/c (No. 15)
Asymmetric unit:
Fe  0.000  0.245  0.250
H  0.125  0.073  0.736
H  0.201  0.014  0.961
H  0.214  0.124  0.328
C  0.058  0.443  0.585
N  0.150  0.044  0.326
O  0.093  0.292  0.545
O  0.108  0.493  0.250